Record 1
This entry pairs a crystal structure of SrNiPt2O8 with its theoretical powder diffraction line list. Radiation: copper Kα. Structure: a structure optimized by DFT (PBE+U).
Kinematic intensities with the Lorentz-polarization factor, no thermal factor.

Most intense lines, 2θ = 10–80°, low angle first:
- hkl 0 0 1, d = 6.177 Å, rel. 1000
- hkl 0 1 1, d = 3.746 Å, rel. 637
- hkl 0 0 2, d = 3.088 Å, rel. 241
- hkl 1 1 0, d = 2.720 Å, rel. 767
- hkl 2 -1 1, d = 2.489 Å, rel. 389
- hkl 2 0 1, d = 2.201 Å, rel. 187
- hkl 2 -1 2, d = 2.041 Å, rel. 551
- hkl 0 1 3, d = 1.887 Å, rel. 192
- hkl 3 -2 1, d = 1.711 Å, rel. 153
- hkl 3 0 0, d = 1.571 Å, rel. 207

Crystal structure
a b c (Å): 5.440 5.440 6.177
angles (deg): 90.00 90.00 120.00
Element x y z (fractional)
Sr (0.000, 0.000, 0.000)
Ni (0.000, 0.000, 0.500)
Pt (0.333, 0.667, 0.450)
Pt (0.667, 0.333, 0.550)
O (0.054, 0.362, 0.646)
O (0.308, 0.946, 0.646)
O (0.333, 0.667, 0.136)
O (0.362, 0.308, 0.354)
O (0.638, 0.692, 0.646)
O (0.667, 0.333, 0.864)
O (0.692, 0.054, 0.354)
O (0.946, 0.638, 0.354)

***

Record 2
This entry pairs a crystal structure of TiNi2PtO6 with its theoretical powder diffraction line list. Radiation: copper Kα. Structure: a structure optimized by DFT (PBE+U).
Kinematic intensities with the Lorentz-polarization factor, no thermal factor.

Most intense lines, 2θ = 10–80°, low angle first:
- hkl 1 0 0, d = 5.604 Å, rel. 647
- hkl 0 0 1, d = 4.113 Å, rel. 1000
- hkl 1 1 0, d = 3.963 Å, rel. 316
- hkl 1 0 1, d = 3.316 Å, rel. 424
- hkl 1 1 1, d = 2.854 Å, rel. 545
- hkl 2 0 0, d = 2.802 Å, rel. 714
- hkl 2 0 1, d = 2.316 Å, rel. 325
- hkl 2 2 0, d = 1.981 Å, rel. 488
- hkl 1 1 2, d = 1.825 Å, rel. 456
- hkl 2 2 1, d = 1.785 Å, rel. 371

Crystal structure
a b c (Å): 5.604 5.604 4.113
angles (deg): 90.00 90.00 90.00
Element x y z (fractional)
Ti (0.000, 0.000, 0.000)
Ni (0.000, 0.500, 0.255)
Ni (0.500, 0.000, 0.255)
Pt (0.500, 0.500, 0.074)
O (0.000, 0.000, 0.589)
O (0.245, 0.245, 0.121)
O (0.245, 0.755, 0.121)
O (0.500, 0.500, 0.579)
O (0.755, 0.245, 0.121)
O (0.755, 0.755, 0.121)

***

Record 3
This entry pairs a crystal structure of VNi2PtO6 with its theoretical powder diffraction line list. Radiation: copper Kα. Structure: a structure optimized by DFT (PBE+U).
Kinematic intensities with the Lorentz-polarization factor, no thermal factor.

Most intense lines, 2θ = 10–80°, low angle first:
- hkl 1 0 0, d = 5.633 Å, rel. 574
- hkl 0 0 1, d = 4.101 Å, rel. 1000
- hkl 1 1 0, d = 3.983 Å, rel. 333
- hkl 1 0 1, d = 3.315 Å, rel. 356
- hkl 1 1 1, d = 2.857 Å, rel. 594
- hkl 2 0 0, d = 2.817 Å, rel. 737
- hkl 2 0 1, d = 2.322 Å, rel. 336
- hkl 2 2 0, d = 1.992 Å, rel. 494
- hkl 1 1 2, d = 1.823 Å, rel. 479
- hkl 2 2 1, d = 1.792 Å, rel. 372

Crystal structure
a b c (Å): 5.633 5.633 4.101
angles (deg): 90.00 90.00 90.00
Element x y z (fractional)
V (0.000, 0.000, 0.000)
Ni (0.000, 0.500, 0.235)
Ni (0.500, 0.000, 0.235)
Pt (0.500, 0.500, 0.047)
O (0.000, 0.000, 0.597)
O (0.234, 0.234, 0.118)
O (0.234, 0.766, 0.118)
O (0.500, 0.500, 0.553)
O (0.766, 0.234, 0.118)
O (0.766, 0.766, 0.118)

***

Copy entry 3 word for word.
This entry pairs a crystal structure of VNi2PtO6 with its theoretical powder diffraction line list. Radiation: copper Kα. Structure: a structure optimized by DFT (PBE+U).
Kinematic intensities with the Lorentz-polarization factor, no thermal factor.

Most intense lines, 2θ = 10–80°, low angle first:
- hkl 1 0 0, d = 5.633 Å, rel. 574
- hkl 0 0 1, d = 4.101 Å, rel. 1000
- hkl 1 1 0, d = 3.983 Å, rel. 333
- hkl 1 0 1, d = 3.315 Å, rel. 356
- hkl 1 1 1, d = 2.857 Å, rel. 594
- hkl 2 0 0, d = 2.817 Å, rel. 737
- hkl 2 0 1, d = 2.322 Å, rel. 336
- hkl 2 2 0, d = 1.992 Å, rel. 494
- hkl 1 1 2, d = 1.823 Å, rel. 479
- hkl 2 2 1, d = 1.792 Å, rel. 372

Crystal structure
a b c (Å): 5.633 5.633 4.101
angles (deg): 90.00 90.00 90.00
Element x y z (fractional)
V (0.000, 0.000, 0.000)
Ni (0.000, 0.500, 0.235)
Ni (0.500, 0.000, 0.235)
Pt (0.500, 0.500, 0.047)
O (0.000, 0.000, 0.597)
O (0.234, 0.234, 0.118)
O (0.234, 0.766, 0.118)
O (0.500, 0.500, 0.553)
O (0.766, 0.234, 0.118)
O (0.766, 0.766, 0.118)